For Li3MoF6, a crystal structure in the Materials Project, relaxed with GGA+U gives the calculated X-ray powder pattern in this record (a wavelength of 1.5418 Å).
Neutral-atom scattering factors, no anomalous dispersion.

Unit cell a=5.674 b=5.674 c=5.674 alpha=60.00 beta=60.00 gamma=60.00
Sites, in units of the cell vectors:
Li 0.000 0.000 0.000
Li 0.250 0.250 0.250
Li 0.750 0.750 0.750
Mo 0.500 0.500 0.500
F 0.245 0.245 0.755
F 0.245 0.755 0.245
F 0.245 0.755 0.755
F 0.755 0.245 0.245
F 0.755 0.245 0.755
F 0.755 0.755 0.245

Top 8 peaks for 10° ≤ 2θ ≤ 90°, by angle:
19.2 deg, d = 4.633 Å, I = 816
22.2 deg, d = 4.012 Å, I = 1000
31.5 deg, d = 2.837 Å, I = 240
37.2 deg, d = 2.419 Å, I = 504
45.2 deg, d = 2.006 Å, I = 406
49.5 deg, d = 1.841 Å, I = 236
50.9 deg, d = 1.794 Å, I = 367
65.8 deg, d = 1.419 Å, I = 222



For NaLi2MoF6, a crystal structure in the Materials Project, relaxed with GGA+U gives the calculated X-ray powder pattern in this record (a wavelength of 1.5418 Å).
Neutral-atom scattering factors, no anomalous dispersion.

Unit cell a=5.970 b=5.970 c=5.970 alpha=60.00 beta=60.00 gamma=60.00
Sites, in units of the cell vectors:
Na 0.000 0.000 0.000
Li 0.250 0.250 0.250
Li 0.750 0.750 0.750
Mo 0.500 0.500 0.500
F 0.257 0.257 0.743
F 0.257 0.743 0.257
F 0.257 0.743 0.743
F 0.743 0.257 0.257
F 0.743 0.257 0.743
F 0.743 0.743 0.257

Top 8 peaks for 10° ≤ 2θ ≤ 90°, by angle:
18.2 deg, d = 4.874 Å, I = 492
21.0 deg, d = 4.221 Å, I = 1000
29.9 deg, d = 2.985 Å, I = 297
35.3 deg, d = 2.546 Å, I = 229
42.8 deg, d = 2.111 Å, I = 383
48.2 deg, d = 1.888 Å, I = 388
62.2 deg, d = 1.492 Å, I = 214
66.4 deg, d = 1.407 Å, I = 167



For Na2LiVF6, a crystal structure in the Materials Project, relaxed with GGA+U gives the calculated X-ray powder pattern in this record (a wavelength of 1.5418 Å).
Neutral-atom scattering factors, no anomalous dispersion.

Unit cell a=5.565 b=5.565 c=5.565 alpha=60.00 beta=60.00 gamma=60.00
Sites, in units of the cell vectors:
Na 0.250 0.250 0.250
Na 0.750 0.750 0.750
Li 0.000 0.000 0.000
V 0.500 0.500 0.500
F 0.253 0.253 0.747
F 0.253 0.747 0.253
F 0.253 0.747 0.747
F 0.747 0.253 0.253
F 0.747 0.253 0.747
F 0.747 0.747 0.253

Top 8 peaks for 10° ≤ 2θ ≤ 90°, by angle:
19.5 deg, d = 4.544 Å, I = 689
22.6 deg, d = 3.935 Å, I = 367
32.2 deg, d = 2.783 Å, I = 513
37.9 deg, d = 2.373 Å, I = 302
39.7 deg, d = 2.272 Å, I = 549
46.1 deg, d = 1.968 Å, I = 1000
57.4 deg, d = 1.607 Å, I = 197
67.3 deg, d = 1.391 Å, I = 511



For LiNiF3, a crystal structure in the Materials Project, relaxed with GGA+U gives the calculated X-ray powder pattern in this record (a wavelength of 1.5418 Å).
Neutral-atom scattering factors, no anomalous dispersion.

Unit cell a=5.535 b=5.535 c=5.535 alpha=55.37 beta=55.37 gamma=55.37
Sites, in units of the cell vectors:
Li 0.203 0.203 0.203
Li 0.797 0.797 0.797
Ni 0.000 0.000 0.000
Ni 0.500 0.500 0.500
F 0.105 0.771 0.392
F 0.229 0.608 0.895
F 0.392 0.105 0.771
F 0.608 0.895 0.229
F 0.771 0.392 0.105
F 0.895 0.229 0.608

Top 8 peaks for 10° ≤ 2θ ≤ 90°, by angle:
23.7 deg, d = 3.759 Å, I = 1000
32.5 deg, d = 2.754 Å, I = 387
34.9 deg, d = 2.571 Å, I = 144
40.0 deg, d = 2.253 Å, I = 264
48.4 deg, d = 1.879 Å, I = 189
53.0 deg, d = 1.729 Å, I = 404
61.1 deg, d = 1.517 Å, I = 142
62.6 deg, d = 1.485 Å, I = 188



For Li2NiF4, a crystal structure in the Materials Project, relaxed with GGA+U gives the calculated X-ray powder pattern in this record (a wavelength of 1.5418 Å).
Neutral-atom scattering factors, no anomalous dispersion.

Unit cell a=5.922 b=5.922 c=5.922 alpha=120.45 beta=118.99 gamma=90.49
Sites, in units of the cell vectors:
Li 0.000 0.000 0.500
Li 0.000 0.500 0.000
Li 0.384 0.134 0.250
Li 0.616 0.866 0.750
Ni 0.000 0.500 0.500
Ni 0.500 0.500 0.000
F 0.224 0.739 0.485
F 0.246 0.261 0.985
F 0.246 0.262 0.516
F 0.246 0.730 0.984
F 0.754 0.270 0.016
F 0.754 0.738 0.484
F 0.754 0.739 0.015
F 0.776 0.261 0.515

Top 8 peaks for 10° ≤ 2θ ≤ 90°, by angle:
18.5 deg, d = 4.807 Å, I = 1000
21.3 deg, d = 4.170 Å, I = 267
30.4 deg, d = 2.941 Å, I = 133
35.2 deg, d = 2.549 Å, I = 370
35.7 deg, d = 2.513 Å, I = 165
43.0 deg, d = 2.102 Å, I = 444
43.4 deg, d = 2.085 Å, I = 215
62.8 deg, d = 1.480 Å, I = 269